(1)
Simulated powder X-ray diffraction pattern of PuTl3F6 for λ = 1.5418 Å (Cu Kα), from DFT lattice parameters and positions (PBE).
Kinematic intensities with the Lorentz-polarization factor, no thermal factor.

Peak list (10 most intense, 2θ from 15° to 90°, by angle)
23.50 deg, d = 3.785 Å, I 100; 26.53 deg, d = 3.360 Å, I 92; 28.81 deg, d = 3.099 Å, I 51; 29.41 deg, d = 3.037 Å, I 29; 37.14 deg, d = 2.420 Å, I 23; 41.64 deg, d = 2.169 Å, I 54; 46.23 deg, d = 1.964 Å, I 41; 48.07 deg, d = 1.893 Å, I 15; 50.44 deg, d = 1.809 Å, I 16; 51.34 deg, d = 1.780 Å, I 26

Atomic structure:
abc: 7.766 7.291 6.300
angles: 69.26 61.39 49.35
Positions (direct):
Pu (0.000, 0.000, 0.000)
Tl (0.250, 0.250, 0.250)
Tl (0.500, 0.500, 0.500)
Tl (0.750, 0.750, 0.750)
F (0.078, 0.668, 0.922)
F (0.227, 0.773, 0.227)
F (0.332, 0.922, 0.668)
F (0.668, 0.078, 0.332)
F (0.773, 0.227, 0.773)
F (0.922, 0.332, 0.078)

(2)
Simulated powder X-ray diffraction pattern of PuTlF5 for λ = 1.5418 Å (Cu Kα), from DFT lattice parameters and positions (PBE).
Kinematic intensities with the Lorentz-polarization factor, no thermal factor.

Peak list (10 most intense, 2θ from 15° to 90°, by angle)
23.91 deg, d = 3.722 Å, I 31; 25.94 deg, d = 3.435 Å, I 100; 32.71 deg, d = 2.738 Å, I 23; 40.81 deg, d = 2.211 Å, I 11; 40.91 deg, d = 2.206 Å, I 22; 41.06 deg, d = 2.198 Å, I 11; 43.22 deg, d = 2.093 Å, I 13; 43.40 deg, d = 2.085 Å, I 13; 46.93 deg, d = 1.936 Å, I 17; 54.37 deg, d = 1.687 Å, I 21

Atomic structure:
abc: 3.872 3.872 7.444
angles: 90.25 90.25 90.05
Positions (direct):
Pu (0.000, 0.000, 0.000)
Tl (0.500, 0.500, 0.500)
F (0.000, 0.000, 0.500)
F (0.001, 0.500, 0.834)
F (0.500, 0.001, 0.834)
F (0.500, 0.999, 0.166)
F (0.999, 0.500, 0.166)

(3)
Simulated powder X-ray diffraction pattern of TmPuF for λ = 1.5418 Å (Cu Kα), from DFT lattice parameters and positions (PBE).
Kinematic intensities with the Lorentz-polarization factor, no thermal factor.

Peak list (10 most intense, 2θ from 15° to 90°, by angle)
20.24 deg, d = 4.388 Å, I 39; 27.67 deg, d = 3.224 Å, I 81; 30.56 deg, d = 2.926 Å, I 100; 32.92 deg, d = 2.720 Å, I 88; 36.29 deg, d = 2.475 Å, I 41; 38.47 deg, d = 2.340 Å, I 73; 39.88 deg, d = 2.260 Å, I 64; 40.56 deg, d = 2.224 Å, I 56; 41.26 deg, d = 2.188 Å, I 53; 49.90 deg, d = 1.828 Å, I 65

Atomic structure:
abc: 8.777 5.160 4.681
angles: 90.00 90.00 90.00
Positions (direct):
Tm (0.181, 0.006, 0.250)
Tm (0.181, 0.494, 0.750)
Tm (0.819, 0.506, 0.250)
Tm (0.819, 0.994, 0.750)
Pu (0.467, 0.676, 0.250)
Pu (0.467, 0.824, 0.750)
Pu (0.533, 0.176, 0.250)
Pu (0.533, 0.324, 0.750)
F (0.002, 0.750, 0.000)
F (0.002, 0.750, 0.500)
F (0.998, 0.250, 0.000)
F (0.998, 0.250, 0.500)

(4)
Simulated powder X-ray diffraction pattern of Rb2F3 for λ = 1.5418 Å (Cu Kα), from DFT lattice parameters and positions (PBE).
Kinematic intensities with the Lorentz-polarization factor, no thermal factor.

Peak list (10 most intense, 2θ from 15° to 90°, by angle)
24.23 deg, d = 3.673 Å, I 24; 24.46 deg, d = 3.640 Å, I 28; 25.68 deg, d = 3.469 Å, I 85; 34.70 deg, d = 2.585 Å, I 76; 35.60 deg, d = 2.522 Å, I 100; 43.80 deg, d = 2.067 Å, I 34; 50.68 deg, d = 1.801 Å, I 19; 56.72 deg, d = 1.623 Å, I 18; 58.88 deg, d = 1.569 Å, I 24; 68.33 deg, d = 1.373 Å, I 17

Atomic structure:
abc: 5.391 5.391 7.280
angles: 90.00 90.00 94.11
Positions (direct):
Rb (0.119, 0.373, 0.000)
Rb (0.373, 0.119, 0.500)
Rb (0.627, 0.881, 0.000)
Rb (0.881, 0.627, 0.500)
F (0.110, 0.890, 0.181)
F (0.317, 0.683, 0.723)
F (0.405, 0.595, 0.285)
F (0.595, 0.405, 0.785)
F (0.683, 0.317, 0.223)
F (0.890, 0.110, 0.681)

(5)
Simulated powder X-ray diffraction pattern of Rb3F for λ = 1.5418 Å (Cu Kα), from DFT lattice parameters and positions (PBE).
Kinematic intensities with the Lorentz-polarization factor, no thermal factor.

Peak list (10 most intense, 2θ from 15° to 90°, by angle)
22.56 deg, d = 3.942 Å, I 49; 22.82 deg, d = 3.897 Å, I 100; 23.43 deg, d = 3.797 Å, I 55; 28.51 deg, d = 3.130 Å, I 38; 32.75 deg, d = 2.735 Å, I 52; 36.89 deg, d = 2.437 Å, I 67; 37.96 deg, d = 2.370 Å, I 20; 39.76 deg, d = 2.267 Å, I 18; 51.81 deg, d = 1.764 Å, I 21; 58.29 deg, d = 1.583 Å, I 16

Atomic structure:
abc: 8.041 8.041 8.041
angles: 151.51 66.53 121.29
Positions (direct):
Rb (0.000, 0.000, 0.000)
Rb (0.278, 0.421, 0.857)
Rb (0.564, 0.421, 0.143)
F (0.279, 0.779, 0.500)

(6)
Simulated powder X-ray diffraction pattern of RbReF5 for λ = 1.5418 Å (Cu Kα), from DFT lattice parameters and positions (PBE).
Kinematic intensities with the Lorentz-polarization factor, no thermal factor.

Peak list (10 most intense, 2θ from 15° to 90°, by angle)
18.96 deg, d = 4.681 Å, I 100; 22.65 deg, d = 3.925 Å, I 57; 25.08 deg, d = 3.551 Å, I 99; 29.70 deg, d = 3.008 Å, I 32; 30.70 deg, d = 2.912 Å, I 34; 32.53 deg, d = 2.752 Å, I 27; 38.47 deg, d = 2.340 Å, I 22; 41.29 deg, d = 2.187 Å, I 25; 45.12 deg, d = 2.009 Å, I 45; 47.78 deg, d = 1.903 Å, I 15

Atomic structure:
abc: 6.337 6.337 7.981
angles: 105.44 105.44 76.54
Positions (direct):
Rb (0.031, 0.969, 0.750)
Rb (0.969, 0.031, 0.250)
Re (0.500, 0.500, 0.000)
Re (0.500, 0.500, 0.500)
F (0.236, 0.729, 0.031)
F (0.268, 0.316, 0.407)
F (0.271, 0.764, 0.469)
F (0.316, 0.268, 0.907)
F (0.438, 0.562, 0.750)
F (0.562, 0.438, 0.250)
F (0.684, 0.732, 0.093)
F (0.729, 0.236, 0.531)
F (0.732, 0.684, 0.593)
F (0.764, 0.271, 0.969)